1.
Li3Mn3OF7: theoretical powder diffractogram (Cu Kα), based on a cell relaxed with PBE+U.
No peak broadening, texture or thermal motion is included.

The 6 most intense peaks (10 to 90 degrees two-theta), in order of rising 2θ:
d [Å], Rel. int.
5.152, 44
4.972, 78
2.700, 54
2.211, 100
1.585, 33
1.542, 29

Cell lengths 6.3397, 6.3397, 14.9173 Å; angles 90.00, 90.00, 120.00 degrees
Space group R3m (No. 160, hexagonal axes)
Asymmetric unit:
1 Li 0.0000 0.0000 0.0000
2 Li 0.0000 0.0000 0.2584
3 Li 0.0000 0.0000 0.6225
4 Mn 0.0129 0.5065 0.1203
5 O 0.0000 0.0000 0.3860
6 F 0.0000 0.0000 0.8650
7 F 0.0171 0.5086 0.3748
8 F 0.1746 0.3492 0.2111



2.
Li2MnO2F: theoretical powder diffractogram (Cu Kα), based on a cell relaxed with PBE+U.
No peak broadening, texture or thermal motion is included.

The 6 most intense peaks (10 to 90 degrees two-theta), in order of rising 2θ:
d [Å], Rel. int.
4.874, 100
4.282, 41
3.944, 30
2.515, 31
2.207, 52
2.074, 83

Cell lengths 5.317, 8.789, 9.824 Å; angles 90.00, 97.19, 90.00 degrees
Space group C2/c (No. 15)
Asymmetric unit:
1 Li 0.000 0.092 0.250
2 Li 0.000 0.279 0.750
3 Li 0.000 0.407 0.250
4 Li 0.250 0.250 0.500
5 Mn 0.227 0.411 0.000
6 O 0.130 0.434 0.618
7 O 0.151 0.240 0.119
8 F 0.130 0.082 0.622